Structure and calculated X-ray powder pattern of K3CuP2S7 (a cell relaxed with GGA-PBE; λ = 1.5418 Å (Cu Kα)).
Peak positions follow from Bragg's law for the DFT cell and can differ from measured ones.

Largest 10 diffraction maxima, in order of rising 2θ, 15 to 90 degrees two-theta:
- 15.36°, I = 92
- 28.40°, I = 100
- 29.40°, I = 44
- 29.84°, I = 87
- 30.48°, I = 60
- 31.39°, I = 60
- 32.74°, I = 40
- 33.57°, I = 45
- 39.90°, I = 42
- 49.24°, I = 39

Cell and atoms:
```
data_K3CuP2S7
_space_group_name_H-M_alt 'P 1 21/c 1'
_space_group_IT_number 14
_cell_length_a 15.3645
_cell_length_b 6.7631
_cell_length_c 13.4119
_cell_angle_alpha 90.00
_cell_angle_beta 98.58
_cell_angle_gamma 90.00
loop_
_space_group_symop_operation_xyz
'x,y,z'
'-x,-y,-z'
'-x,y+1/2,-z+1/2'
'x,-y+1/2,z+1/2'
loop_
_atom_site_label
_atom_site_fract_x
_atom_site_fract_y
_atom_site_fract_z
K1 0.0275 0.2207 0.4035
K2 0.1991 0.7395 0.8167
K3 0.4282 0.1511 0.8428
Cu1 0.3036 0.5198 0.0662
P1 0.1465 0.2401 0.6684
P2 0.3374 0.0004 0.1140
S1 0.0158 0.1938 0.1472
S2 0.1647 0.5196 0.0934
S3 0.1939 0.0178 0.0868
S4 0.2054 0.2364 0.8124
S5 0.3586 0.7022 0.5055
S6 0.3825 0.6006 0.7527
S7 0.3944 0.2359 0.5830
```

Structure and calculated X-ray powder pattern of GdAgS2 (a cell relaxed with GGA-PBE; λ = 1.5418 Å (Cu Kα)).
Peak positions follow from Bragg's law for the DFT cell and can differ from measured ones.

Largest 10 diffraction maxima, in order of rising 2θ, 15 to 90 degrees two-theta:
- 17.69°, I = 14
- 26.90°, I = 30
- 27.06°, I = 87
- 27.90°, I = 49
- 32.88°, I = 100
- 43.52°, I = 28
- 43.77°, I = 27
- 47.12°, I = 17
- 47.24°, I = 17
- 55.24°, I = 18

Cell and atoms:
```
data_GdAgS2
_space_group_name_H-M_alt 'P 1 21 1'
_space_group_IT_number 4
_cell_length_a 7.7151
_cell_length_b 7.6966
_cell_length_c 12.7925
_cell_angle_alpha 90.00
_cell_angle_beta 90.45
_cell_angle_gamma 90.00
loop_
_space_group_symop_operation_xyz
'x,y,z'
'-x,y+1/2,-z'
loop_
_atom_site_label
_atom_site_fract_x
_atom_site_fract_y
_atom_site_fract_z
Gd1 0.0019 0.0000 0.2471
Gd2 0.2474 0.2461 0.5030
Gd3 0.2537 0.7474 0.0031
Gd4 0.4980 0.9916 0.7475
Ag1 0.0019 0.9968 0.6965
Ag2 0.2435 0.2470 0.0327
Ag3 0.2578 0.7422 0.5294
Ag4 0.4998 0.4922 0.7906
S1 0.0214 0.0188 0.0292
S2 0.0271 0.5231 0.5347
S3 0.2250 0.2228 0.7208
S4 0.2246 0.2726 0.2865
S5 0.2743 0.7684 0.2215
S6 0.2754 0.7191 0.7863
S7 0.4724 0.4691 0.0354
S8 0.4768 0.9725 0.5288
```